Nb2CoAg2Se6: calculated X-ray diffraction stick pattern (Cu Kα X-rays), based on a cell relaxed with GGA-PBE.

Largest 10 diffraction maxima, sorted by position, 2θ from 15° to 90°:
- 2θ 16.7, I 34, hkl 1 1 0
- 2θ 28.1, I 32, hkl 1 3 0
- 2θ 29.7, I 79, hkl 1 3 -1
- 2θ 32.2, I 49, hkl 1 3 1
- 2θ 33.3, I 34, hkl 1 1 2
- 2θ 35.7, I 100, hkl 2 0 -2
- 2θ 40.5, I 70, hkl 1 3 2
- 2θ 43.6, I 28, hkl 2 0 2
- 2θ 48.6, I 33, hkl 0 6 0
- 2θ 51.7, I 37, hkl 3 3 0

Cell and atoms:
abc: 6.133 11.231 7.009
angles: 90.00 101.01 90.00
Space group C2/m (No. 12)
Asymmetric unit:
Nb1 0.000 0.130 0.000 (multiplicity 4)
Co1 0.000 0.500 0.000 (multiplicity 2)
Ag1 0.000 0.139 0.500 (multiplicity 4)
Se1 0.186 0.333 0.197 (multiplicity 8)
Se2 0.249 0.000 0.254 (multiplicity 4)